Calculated X-ray powder pattern of ZnSnP2O7 for λ = 1.5418 Å (Cu Kα), from a GGA-PBE-relaxed structure.
Intensities are scaled so that the largest is 1000.

Cell and atoms:
a = 6.539 Å, b = 7.190 Å, c = 7.577 Å
α = 86.04°, β = 72.65°, γ = 76.70°
Space group P-1 (No. 2)
Symmetry-distinct sites (fractional):
Zn: 0.054 0.291 0.437 (multiplicity 2)
Sn: 0.221 0.814 0.905 (multiplicity 2)
P: 0.224 0.368 0.781 (multiplicity 2)
P: 0.332 0.888 0.325 (multiplicity 2)
O: 0.089 0.284 0.954 (multiplicity 2)
O: 0.091 0.439 0.638 (multiplicity 2)
O: 0.191 0.836 0.514 (multiplicity 2)
O: 0.297 0.791 0.167 (multiplicity 2)
O: 0.313 0.106 0.301 (multiplicity 2)
O: 0.336 0.520 0.817 (multiplicity 2)
O: 0.415 0.193 0.674 (multiplicity 2)

Top 8 peaks for 2θ from 15° to 90°, most intense first:
2theta  d (Å)  I (rel.)  (hkl)
24.71  3.603  1000  1 0 2
23.44  3.795  880  1 1 -1
32.19  2.780  473  1 -2 0
25.46  3.498  375  0 2 0
21.35  4.162  330  1 -1 0
39.54  2.279  296  0 1 -3
35.70  2.515  285  0 2 2
29.33  3.045  272  2 0 0